(1)
Simulated PXRD pattern
Compound: ScSb4
Radiation: CuKα
Structure: the PBE geometry in Alexandria
Peak positions follow from Bragg's law for the DFT cell and can differ from measured ones.

```
data_ScSb4
_cell_length_a 6.7125
_cell_length_b 6.7125
_cell_length_c 6.7125
_cell_angle_alpha 90.00
_cell_angle_beta 90.00
_cell_angle_gamma 90.00
_symmetry_space_group_name_H-M 'I m -3 m'
_symmetry_Int_Tables_number 229
_symmetry_space_group_name_Hall '-I 4 2 3'
loop_
_atom_site_label
_atom_site_fract_x
_atom_site_fract_y
_atom_site_fract_z
_atom_site_occupancy
Sc1 0.0000 0.0000 0.0000 1
Sb1 0.2500 0.2500 0.2500 1
```

Main lines, by intensity (10° ≤ 2θ ≤ 90°):
d = 2.373 Å, intensity 100.0
d = 3.356 Å, intensity 88.7
d = 1.370 Å, intensity 33.8
d = 1.501 Å, intensity 32.6
d = 1.938 Å, intensity 25.1
d = 1.678 Å, intensity 16.8
d = 1.119 Å, intensity 16.2
d = 1.187 Å, intensity 10.6
d = 4.746 Å, intensity 4.8
d = 2.740 Å, intensity 2.2


(2)
Simulated PXRD pattern
Compound: Sc7Sb6
Radiation: CuKα
Structure: the PBE geometry in Alexandria
Peak positions follow from Bragg's law for the DFT cell and can differ from measured ones.

```
data_Sc7Sb6
_cell_length_a 6.2389
_cell_length_b 6.2389
_cell_length_c 29.4204
_cell_angle_alpha 90.00
_cell_angle_beta 90.00
_cell_angle_gamma 120.00
_symmetry_space_group_name_H-M 'R -3 m'
_symmetry_Int_Tables_number 166
_symmetry_space_group_name_Hall '-R 3 2"'
loop_
_atom_site_label
_atom_site_fract_x
_atom_site_fract_y
_atom_site_fract_z
_atom_site_occupancy
Sc1 0.0000 0.0000 0.0000 1
Sc2 0.0012 0.5006 0.5778 1
Sb1 0.0000 0.0000 0.1668 1
Sb2 0.0000 0.0000 0.3307 1
Sb3 0.0000 0.0000 0.4483 1
```

Main lines, by intensity (10° ≤ 2θ ≤ 90°):
d = 3.119 Å, intensity 100.0
d = 2.632 Å, intensity 75.3
d = 2.177 Å, intensity 30.5
d = 1.560 Å, intensity 28.0
d = 3.040 Å, intensity 27.2
d = 1.448 Å, intensity 26.8
d = 2.690 Å, intensity 25.4
d = 2.584 Å, intensity 22.2
d = 2.273 Å, intensity 20.6
d = 1.801 Å, intensity 20.2


(3)
Simulated PXRD pattern
Compound: Sc5Sb
Radiation: CuKα
Structure: the PBE geometry in Alexandria
Peak positions follow from Bragg's law for the DFT cell and can differ from measured ones.

```
data_Sc5Sb
_cell_length_a 5.6373
_cell_length_b 5.6373
_cell_length_c 5.0794
_cell_angle_alpha 90.00
_cell_angle_beta 90.00
_cell_angle_gamma 120.00
_symmetry_space_group_name_H-M 'P -6 2 m'
_symmetry_Int_Tables_number 189
_symmetry_space_group_name_Hall 'P -6 -2'
loop_
_atom_site_label
_atom_site_fract_x
_atom_site_fract_y
_atom_site_fract_z
_atom_site_occupancy
Sc1 0.0000 0.6822 0.0000 1
Sc2 0.3333 0.6667 0.5000 1
Sb1 0.0000 0.0000 0.5000 1
```

Main lines, by intensity (10° ≤ 2θ ≤ 90°):
d = 2.465 Å, intensity 100.0
d = 2.819 Å, intensity 27.9
d = 2.540 Å, intensity 24.1
d = 4.882 Å, intensity 21.9
d = 1.370 Å, intensity 17.9
d = 1.451 Å, intensity 17.1
d = 1.627 Å, intensity 16.6
d = 1.887 Å, intensity 16.3
d = 1.358 Å, intensity 13.2
d = 3.520 Å, intensity 13.1


(4)
Simulated PXRD pattern
Compound: Sc3Sb
Radiation: CuKα
Structure: the PBE geometry in Alexandria
Peak positions follow from Bragg's law for the DFT cell and can differ from measured ones.

```
data_Sc3Sb
_cell_length_a 5.0625
_cell_length_b 6.1265
_cell_length_c 5.8165
_cell_angle_alpha 90.00
_cell_angle_beta 90.00
_cell_angle_gamma 90.00
_symmetry_space_group_name_H-M 'P m m n'
_symmetry_Int_Tables_number 59
loop_
_symmetry_equiv_pos_as_xyz
'x,y,z'
'-x,-y,-z'
'-x+1/2,-y+1/2,z'
'x+1/2,y+1/2,-z'
'x+1/2,-y,-z'
'-x+1/2,y,z'
'-x,y+1/2,-z'
'x,-y+1/2,z'
loop_
_atom_site_label
_atom_site_fract_x
_atom_site_fract_y
_atom_site_fract_z
_atom_site_occupancy
Sc1 0.2500 0.0048 0.1444 1
Sc2 0.2500 0.2500 0.6387 1
Sb1 0.2500 0.7500 0.6599 1
```

Main lines, by intensity (10° ≤ 2θ ≤ 90°):
d = 2.389 Å, intensity 100.0
d = 2.522 Å, intensity 79.4
d = 2.531 Å, intensity 45.2
d = 2.710 Å, intensity 37.4
d = 1.310 Å, intensity 27.8
d = 4.218 Å, intensity 25.0
d = 1.850 Å, intensity 22.8
d = 3.903 Å, intensity 22.6
d = 1.375 Å, intensity 21.3
d = 1.638 Å, intensity 19.8


(5)
Simulated PXRD pattern
Compound: ScSb3
Radiation: CuKα
Structure: the PBE geometry in Alexandria
Peak positions follow from Bragg's law for the DFT cell and can differ from measured ones.

```
data_ScSb3
_cell_length_a 3.2858
_cell_length_b 9.7705
_cell_length_c 6.4704
_cell_angle_alpha 90.00
_cell_angle_beta 90.00
_cell_angle_gamma 90.00
_symmetry_space_group_name_H-M 'I m m 2'
_symmetry_Int_Tables_number 44
_symmetry_space_group_name_Hall 'I 2 -2'
loop_
_atom_site_label
_atom_site_fract_x
_atom_site_fract_y
_atom_site_fract_z
_atom_site_occupancy
Sc1 0.0000 0.0000 0.0000 1
Sb1 0.0000 0.3005 0.2137 1
Sb2 0.0000 0.5000 0.8845 1
```

Main lines, by intensity (10° ≤ 2θ ≤ 90°):
d = 2.513 Å, intensity 100.0
d = 2.697 Å, intensity 73.1
d = 2.909 Å, intensity 68.5
d = 2.930 Å, intensity 56.9
d = 1.882 Å, intensity 33.4
d = 1.803 Å, intensity 25.7
d = 3.114 Å, intensity 25.3
d = 2.106 Å, intensity 18.6
d = 1.403 Å, intensity 18.5
d = 1.680 Å, intensity 18.2


(6)
Simulated PXRD pattern
Compound: ScSb2
Radiation: CuKα
Structure: the PBE geometry in Alexandria
Peak positions follow from Bragg's law for the DFT cell and can differ from measured ones.

```
data_ScSb2
_cell_length_a 6.4600
_cell_length_b 9.6287
_cell_length_c 9.6725
_cell_angle_alpha 90.00
_cell_angle_beta 90.00
_cell_angle_gamma 90.00
_symmetry_space_group_name_H-M 'F m m m'
_symmetry_Int_Tables_number 69
_symmetry_space_group_name_Hall '-F 2 2'
loop_
_atom_site_label
_atom_site_fract_x
_atom_site_fract_y
_atom_site_fract_z
_atom_site_occupancy
Sc1 0.2500 0.2500 0.2500 1
Sb1 0.0000 0.0000 0.1485 1
Sb2 0.0000 0.1493 0.5000 1
```

Main lines, by intensity (10° ≤ 2θ ≤ 90°):
d = 2.759 Å, intensity 100.0
d = 1.759 Å, intensity 25.9
d = 2.684 Å, intensity 22.7
d = 3.230 Å, intensity 21.2
d = 1.509 Å, intensity 13.0
d = 2.346 Å, intensity 12.3
d = 2.161 Å, intensity 11.7
d = 2.155 Å, intensity 11.3
d = 1.293 Å, intensity 8.3
d = 1.190 Å, intensity 7.1


(7)
Simulated PXRD pattern
Compound: Sc3Sb
Radiation: CuKα
Structure: the PBE geometry in Alexandria
Peak positions follow from Bragg's law for the DFT cell and can differ from measured ones.

```
data_Sc3Sb
_cell_length_a 6.2321
_cell_length_b 4.8289
_cell_length_c 6.3150
_cell_angle_alpha 90.00
_cell_angle_beta 103.54
_cell_angle_gamma 90.00
_symmetry_space_group_name_H-M 'P 1 21/m 1'
_symmetry_Int_Tables_number 11
_symmetry_space_group_name_Hall '-P 2yb'
loop_
_atom_site_label
_atom_site_fract_x
_atom_site_fract_y
_atom_site_fract_z
_atom_site_occupancy
Sc1 0.1338 0.2500 0.4105 1
Sc2 0.1456 0.2500 0.9195 1
Sc3 0.3624 0.7500 0.2278 1
Sb1 0.3637 0.7500 0.7203 1
```

Main lines, by intensity (10° ≤ 2θ ≤ 90°):
d = 2.568 Å, intensity 100.0
d = 2.414 Å, intensity 30.0
d = 2.591 Å, intensity 20.7
d = 3.796 Å, intensity 17.7
d = 1.422 Å, intensity 14.2
d = 2.228 Å, intensity 13.9
d = 2.195 Å, intensity 12.6
d = 6.059 Å, intensity 11.4
d = 3.070 Å, intensity 11.4
d = 2.511 Å, intensity 11.1


(8)
Simulated PXRD pattern
Compound: Sc3Sb
Radiation: CuKα
Structure: the PBE geometry in Alexandria
Peak positions follow from Bragg's law for the DFT cell and can differ from measured ones.

```
data_Sc3Sb
_cell_length_a 6.3962
_cell_length_b 6.3962
_cell_length_c 5.0669
_cell_angle_alpha 90.00
_cell_angle_beta 90.00
_cell_angle_gamma 120.00
_symmetry_space_group_name_H-M 'P 63/m m c'
_symmetry_Int_Tables_number 194
_symmetry_space_group_name_Hall '-P 6c 2c'
loop_
_atom_site_label
_atom_site_fract_x
_atom_site_fract_y
_atom_site_fract_z
_atom_site_occupancy
Sc1 0.1678 0.3356 0.2500 1
Sb1 0.3333 0.6667 0.7500 1
```

Main lines, by intensity (10° ≤ 2θ ≤ 90°):
d = 2.430 Å, intensity 100.0
d = 3.739 Å, intensity 26.9
d = 2.533 Å, intensity 25.1
d = 2.770 Å, intensity 24.4
d = 1.352 Å, intensity 18.8
d = 1.442 Å, intensity 17.7
d = 1.599 Å, intensity 17.0
d = 1.869 Å, intensity 14.5
d = 1.336 Å, intensity 13.5
d = 3.198 Å, intensity 12.4